Computed X-ray diffraction stick pattern
Compound: NaAc2PtO4
Radiation: CuKα
Structure: a structure optimized by DFT (PBE)
Kinematic intensities with the Lorentz-polarization factor, no thermal factor.

Peak list (8 most intense, 2θ from 10° to 90°, in order of falling intensity)
| 2θ/deg | I (rel.) | hkl |
| --- | --- | --- |
| 30.60 | 100 | 1 1 2 |
| 15.74 | 60 | 0 1 1 |
| 43.00 | 36 | 1 2 3 |
| 27.93 | 31 | 0 2 0 |
| 40.44 | 25 | 0 1 5 |
| 51.12 | 25 | 1 3 2 |
| 32.02 | 24 | 1 0 3 |
| 62.96 | 14 | 2 1 5 |

Structure:
a = 3.939 Å, b = 6.389 Å, c = 11.900 Å
α = 90.00°, β = 90.00°, γ = 90.00°
Space group Immm (No. 71)
Symmetry-distinct sites (fractional):
Na 0.000 0.000 0.000
Ac 0.000 0.500 0.205
Pt 0.000 0.000 0.500
O 0.000 0.236 0.356

***

Computed X-ray diffraction stick pattern
Compound: Er2Tm3Cd3
Radiation: CuKα
Structure: a structure optimized by DFT (PBE)
Kinematic intensities with the Lorentz-polarization factor, no thermal factor.

Peak list (8 most intense, 2θ from 10° to 90°, in order of falling intensity)
| 2θ/deg | I (rel.) | hkl |
| --- | --- | --- |
| 33.84 | 100 | 1 1 4 |
| 34.08 | 26 | 0 2 0 |
| 32.72 | 23 | 0 0 8 |
| 60.84 | 19 | 1 3 4 |
| 47.96 | 16 | 0 2 8 |
| 59.12 | 13 | 1 1 12 |
| 71.20 | 11 | 2 2 8 |
| 61.26 | 9 | 2 2 0 |

Structure:
a = 3.700 Å, b = 5.262 Å, c = 21.895 Å
α = 90.00°, β = 90.00°, γ = 90.00°
Space group Immm (No. 71)
Symmetry-distinct sites (fractional):
Er 0.000 0.000 0.234
Tm 0.000 0.000 0.000
Tm 0.000 0.500 0.124
Cd 0.000 0.000 0.500
Cd 0.000 0.500 0.383

***

Computed X-ray diffraction stick pattern
Compound: Dy3Y2Tm7
Radiation: CuKα
Structure: a structure optimized by DFT (PBE)
Kinematic intensities with the Lorentz-polarization factor, no thermal factor.

Peak list (8 most intense, 2θ from 10° to 90°, in order of falling intensity)
| 2θ/deg | I (rel.) | hkl |
| --- | --- | --- |
| 32.09 | 100 | 1 5 1 |
| 31.89 | 49 | 2 0 0 |
| 30.72 | 34 | 1 11 0 |
| 34.22 | 25 | 1 7 1 |
| 51.39 | 24 | 0 0 2 |
| 31.58 | 22 | 0 8 1 |
| 35.02 | 20 | 1 13 0 |
| 56.96 | 20 | 3 5 1 |

Structure:
a = 5.612 Å, b = 37.445 Å, c = 3.558 Å
α = 90.00°, β = 90.00°, γ = 90.00°
Space group Cmmm (No. 65)
Symmetry-distinct sites (fractional):
Dy 0.000 0.000 0.000
Dy 0.000 0.186 0.000
Y 0.000 0.353 0.500
Tm 0.000 0.091 0.500
Tm 0.000 0.269 0.500
Tm 0.000 0.429 0.000
Tm 0.000 0.500 0.500

***

Computed X-ray diffraction stick pattern
Compound: Mg2BiSb2
Radiation: CuKα
Structure: a structure optimized by DFT (PBE)
Kinematic intensities with the Lorentz-polarization factor, no thermal factor.

Peak list (8 most intense, 2θ from 10° to 90°, in order of falling intensity)
| 2θ/deg | I (rel.) | hkl |
| --- | --- | --- |
| 31.74 | 100 | 3 1 0 |
| 41.87 | 67 | 3 1 1 |
| 34.98 | 58 | 2 1 1 |
| 26.60 | 47 | 0 0 1 |
| 22.29 | 39 | 2 1 0 |
| 28.31 | 33 | 2 2 0 |
| 14.05 | 32 | 1 1 0 |
| 39.24 | 28 | 2 2 1 |

Structure:
a = 8.916 Å, b = 8.916 Å, c = 3.351 Å
α = 90.00°, β = 90.00°, γ = 90.00°
Space group P4/mbm (No. 127)
Symmetry-distinct sites (fractional):
Mg 0.137 0.363 0.000
Bi 0.000 0.000 0.500
Sb 0.161 0.661 0.500

***

Computed X-ray diffraction stick pattern
Compound: ZrU3S6
Radiation: CuKα
Structure: a structure optimized by DFT (PBE)
Kinematic intensities with the Lorentz-polarization factor, no thermal factor.

Peak list (8 most intense, 2θ from 10° to 90°, in order of falling intensity)
| 2θ/deg | I (rel.) | hkl |
| --- | --- | --- |
| 24.05 | 100 | 0 2 2 |
| 26.78 | 75 | 0 3 1 |
| 30.78 | 70 | 1 2 1 |
| 27.08 | 53 | 0 1 3 |
| 25.55 | 53 | 1 1 0 |
| 30.88 | 50 | 1 1 2 |
| 36.34 | 45 | 1 3 1 |
| 43.05 | 39 | 1 4 1 |

Structure:
a = 3.695 Å, b = 10.541 Å, c = 10.397 Å
α = 90.00°, β = 90.00°, γ = 90.00°
Space group Pmc2_1 (No. 26)
Symmetry-distinct sites (fractional):
Zr 0.000 0.221 0.000
U 0.000 0.438 0.321
U 0.500 0.073 0.293
U 0.500 0.256 0.621
S 0.000 0.118 0.761
S 0.000 0.198 0.432
S 0.000 0.444 0.588
S 0.500 0.042 0.033
S 0.500 0.305 0.171
S 0.500 0.370 0.868

***

Computed X-ray diffraction stick pattern
Compound: TlSi4Ag
Radiation: CuKα
Structure: a structure optimized by DFT (PBE)
Kinematic intensities with the Lorentz-polarization factor, no thermal factor.

Peak list (8 most intense, 2θ from 10° to 90°, in order of falling intensity)
| 2θ/deg | I (rel.) | hkl |
| --- | --- | --- |
| 39.18 | 100 | 3 1 1 |
| 33.23 | 95 | 2 2 0 |
| 20.17 | 64 | 1 1 1 |
| 59.37 | 35 | 4 2 2 |
| 63.37 | 32 | 5 1 1 |
| 69.76 | 20 | 4 4 0 |
| 52.29 | 17 | 3 3 1 |
| 79.49 | 15 | 6 2 0 |

Structure:
a = 7.626 Å, b = 7.626 Å, c = 7.626 Å
α = 90.00°, β = 90.00°, γ = 90.00°
Space group F-43m (No. 216)
Symmetry-distinct sites (fractional):
Tl 0.000 0.000 0.000
Si 0.124 0.124 0.376
Ag 0.250 0.250 0.750

***

Computed X-ray diffraction stick pattern
Compound: In4Pd2Au5
Radiation: CuKα
Structure: a structure optimized by DFT (PBE)
Kinematic intensities with the Lorentz-polarization factor, no thermal factor.

Peak list (8 most intense, 2θ from 10° to 90°, in order of falling intensity)
| 2θ/deg | I (rel.) | hkl |
| --- | --- | --- |
| 36.72 | 100 | 2 0 -3 |
| 36.99 | 45 | 2 1 0 |
| 40.49 | 44 | 1 0 -4 |
| 37.57 | 43 | 3 0 0 |
| 35.13 | 42 | 1 1 -2 |
| 27.01 | 38 | 0 1 0 |
| 33.46 | 29 | 1 0 3 |
| 41.13 | 29 | 2 0 3 |

Structure:
a = 7.225 Å, b = 3.301 Å, c = 9.106 Å
α = 90.00°, β = 96.29°, γ = 90.00°
Space group P2/m (No. 10)
Symmetry-distinct sites (fractional):
In 0.192 0.000 0.381
In 0.235 0.000 0.937
Pd 0.081 0.500 0.148
Au 0.177 0.500 0.645
Au 0.473 0.500 0.168
Au 0.500 0.500 0.500

***

Computed X-ray diffraction stick pattern
Compound: ZnHgIr2
Radiation: CuKα
Structure: a structure optimized by DFT (PBE)
Kinematic intensities with the Lorentz-polarization factor, no thermal factor.

Peak list (8 most intense, 2θ from 10° to 90°, in order of falling intensity)
| 2θ/deg | I (rel.) | hkl |
| --- | --- | --- |
| 37.66 | 100 | 0 1 2 |
| 40.16 | 89 | 1 1 0 |
| 43.49 | 67 | 1 0 2 |
| 67.28 | 37 | 1 2 2 |
| 48.65 | 26 | 0 2 0 |
| 79.17 | 24 | 2 1 2 |
| 74.33 | 23 | 1 1 4 |
| 14.28 | 19 | 0 0 1 |

Structure:
a = 2.806 Å, b = 3.743 Å, c = 6.204 Å
α = 90.00°, β = 90.08°, γ = 90.00°
Space group Pm (No. 6)
Symmetry-distinct sites (fractional):
Zn 0.000 0.000 0.000
Hg 0.498 0.500 0.286
Ir 0.000 0.000 0.569
Ir 0.499 0.500 0.789

***

Computed X-ray diffraction stick pattern
Compound: GaCo3Cu
Radiation: CuKα
Structure: a structure optimized by DFT (PBE)
Kinematic intensities with the Lorentz-polarization factor, no thermal factor.

Peak list (8 most intense, 2θ from 10° to 90°, in order of falling intensity)
| 2θ/deg | I (rel.) | hkl |
| --- | --- | --- |
| 41.85 | 100 | 2 0 0 |
| 36.04 | 63 | 1 1 1 |
| 60.68 | 62 | 2 2 0 |
| 29.26 | 32 | 1 1 0 |
| 20.58 | 27 | 1 0 0 |
| 72.64 | 20 | 3 1 1 |
| 76.43 | 20 | 2 2 2 |
| 51.88 | 13 | 2 1 1 |

Structure:
a = 4.317 Å, b = 4.317 Å, c = 4.317 Å
α = 90.00°, β = 90.00°, γ = 90.00°
Space group Pm-3m (No. 221)
Symmetry-distinct sites (fractional):
Ga 0.000 0.000 0.000
Co 0.000 0.000 0.500
Cu 0.500 0.500 0.500

***

Computed X-ray diffraction stick pattern
Compound: K3Rh3PbO8
Radiation: CuKα
Structure: a structure optimized by DFT (PBE)
Kinematic intensities with the Lorentz-polarization factor, no thermal factor.

Peak list (8 most intense, 2θ from 10° to 90°, in order of falling intensity)
| 2θ/deg | I (rel.) | hkl |
| --- | --- | --- |
| 14.75 | 100 | 0 0 3 |
| 37.75 | 77 | 0 2 4 |
| 33.42 | 52 | 2 0 2 |
| 32.26 | 30 | 0 2 1 |
| 29.75 | 28 | 0 0 6 |
| 52.05 | 25 | 2 0 8 |
| 56.78 | 23 | 2 2 0 |
| 47.94 | 19 | 0 2 7 |

Structure:
a = 6.4855 Å, b = 6.4855 Å, c = 18.0197 Å
α = 90.00°, β = 90.00°, γ = 120.00°
Space group R-3m (No. 166, hexagonal axes)
Symmetry-distinct sites (fractional):
K 0.0000 0.5000 0.0000
Rh 0.0000 0.5000 0.5000
Pb 0.0000 0.0000 0.5000
O 0.0000 0.0000 0.2224
O 0.0252 0.5126 0.7749

***

Computed X-ray diffraction stick pattern
Compound: Fe4TcNi15
Radiation: CuKα
Structure: a structure optimized by DFT (PBE)
Kinematic intensities with the Lorentz-polarization factor, no thermal factor.

Peak list (3 most intense, 2θ from 10° to 90°, in order of falling intensity)
| 2θ/deg | I (rel.) | hkl |
| --- | --- | --- |
| 44.07 | 100 | 1 1 5 |
| 51.34 | 46 | 2 0 0 |
| 75.56 | 27 | 2 2 0 |

Structure:
a = 3.561 Å, b = 3.561 Å, c = 17.785 Å
α = 90.00°, β = 90.00°, γ = 90.00°
Space group P4/mmm (No. 123)
Symmetry-distinct sites (fractional):
Fe 0.000 0.000 0.099
Fe 0.000 0.000 0.296
Tc 0.000 0.000 0.500
Ni 0.000 0.500 0.000
Ni 0.000 0.500 0.198
Ni 0.000 0.500 0.398
Ni 0.500 0.500 0.099
Ni 0.500 0.500 0.298
Ni 0.500 0.500 0.500

***

Computed X-ray diffraction stick pattern
Compound: La4HoEr3
Radiation: CuKα
Structure: a structure optimized by DFT (PBE)
Kinematic intensities with the Lorentz-polarization factor, no thermal factor.

Peak list (8 most intense, 2θ from 10° to 90°, in order of falling intensity)
| 2θ/deg | I (rel.) | hkl |
| --- | --- | --- |
| 30.17 | 100 | 1 2 2 |
| 34.92 | 34 | 2 0 0 |
| 59.71 | 29 | 3 2 2 |
| 50.33 | 24 | 2 0 4 |
| 35.07 | 16 | 0 0 4 |
| 59.91 | 13 | 1 2 6 |
| 50.22 | 12 | 2 4 0 |
| 62.73 | 12 | 2 4 4 |

Structure:
a = 5.138 Å, b = 10.277 Å, c = 10.234 Å
α = 90.00°, β = 90.00°, γ = 90.00°
Space group Pmmn (No. 59, origin choice 2)
Symmetry-distinct sites (fractional):
La 0.250 0.000 0.128
La 0.250 0.250 0.872
La 0.250 0.750 0.872
Ho 0.250 0.250 0.385
Er 0.250 0.000 0.616
Er 0.250 0.750 0.384